# 1
Simulated XRD peak list
Compound: GaMo4CS8
Radiation: Cu Ka
Structure: the PBE geometry in Alexandria
Lines closer than 0.1° are merged.

Crystal structure
a = 10.193 Å, b = 10.193 Å, c = 10.193 Å
α = 90.00°, β = 90.00°, γ = 90.00°
Space group F-43m (No. 216)
Asymmetric unit:
Ga 0.000 0.000 0.000 [4 per cell]
Mo 0.097 0.097 0.597 [16 per cell]
C 0.250 0.250 0.750 [4 per cell]
S 0.130 0.130 0.370 [16 per cell]
S 0.144 0.144 0.856 [16 per cell]

Top 8 peaks for 2θ from 10° to 90°, by angle:
d (Å)  Rel. int.  index
5.885  100  1 1 1
5.097  36  2 0 0
3.073  55  3 1 1
2.548  57  4 0 0
2.338  36  3 3 1
2.081  50  4 2 2
1.962  79  5 1 1
1.802  52  4 4 0


# 2
Simulated XRD peak list
Compound: GaSi3C3N
Radiation: Cu Ka
Structure: the PBE geometry in Alexandria
Lines closer than 0.1° are merged.

Crystal structure
a = 5.105 Å, b = 3.112 Å, c = 5.400 Å
α = 90.00°, β = 90.25°, γ = 90.00°
Space group Pm (No. 6)
Asymmetric unit:
Ga 0.000 0.000 0.000 [1 per cell]
Si 0.011 0.500 0.498 [1 per cell]
Si 0.500 0.500 0.826 [1 per cell]
Si 0.507 0.000 0.332 [1 per cell]
C 0.138 0.000 0.348 [1 per cell]
C 0.604 0.000 0.994 [1 per cell]
C 0.637 0.500 0.499 [1 per cell]
N 0.142 0.500 0.809 [1 per cell]

Top 8 peaks for 2θ from 10° to 90°, by angle:
d (Å)  Rel. int.  index
2.697  100  0 1 1
2.553  64  2 0 0
2.388  85  1 1 -1
2.382  76  1 0 2
1.856  25  2 1 -1
1.557  56  0 2 0
1.437  29  3 0 2
1.328  31  2 1 3


# 3
Simulated XRD peak list
Compound: Sr4GaCN5
Radiation: Cu Ka
Structure: the PBE geometry in Alexandria
Lines closer than 0.1° are merged.

Crystal structure
a = 13.827 Å, b = 7.485 Å, c = 7.466 Å
α = 90.00°, β = 95.44°, γ = 90.00°
Space group P2_1/c (No. 14)
Asymmetric unit:
Sr 0.020 0.249 0.493 [4 per cell]
Sr 0.177 0.530 0.770 [4 per cell]
Sr 0.321 0.158 0.645 [4 per cell]
Sr 0.348 0.685 0.496 [4 per cell]
Ga 0.141 0.517 0.280 [4 per cell]
C 0.456 0.049 0.289 [4 per cell]
N 0.003 0.506 0.257 [4 per cell]
N 0.214 0.653 0.124 [4 per cell]
N 0.217 0.143 0.939 [4 per cell]
N 0.371 0.009 0.317 [4 per cell]
N 0.462 0.592 0.246 [4 per cell]

Top 8 peaks for 2θ from 10° to 90°, by angle:
d (Å)  Rel. int.  index
3.102  37  2 1 -2
3.032  31  3 0 -2
2.957  35  2 2 1
2.900  100  3 2 0
2.762  48  3 0 2
2.637  82  0 2 2
2.623  33  1 2 -2
2.294  37  6 0 0


# 4
Simulated XRD peak list
Compound: NaGa3C
Radiation: Cu Ka
Structure: the PBE geometry in Alexandria
Lines closer than 0.1° are merged.

Crystal structure
a = 4.515 Å, b = 4.515 Å, c = 4.515 Å
α = 90.00°, β = 90.00°, γ = 90.00°
Space group Pm-3m (No. 221)
Asymmetric unit:
Na 0.000 0.000 0.000 [1 per cell]
Ga 0.000 0.500 0.500 [3 per cell]
C 0.500 0.500 0.500 [1 per cell]

Top 8 peaks for 2θ from 10° to 90°, by angle:
d (Å)  Rel. int.  index
4.515  21  1 0 0
3.192  6  1 1 0
2.607  100  1 1 1
2.257  59  2 0 0
2.019  9  2 1 0
1.596  38  2 2 0
1.361  38  3 1 1
1.303  12  2 2 2